Calculated PXRD pattern
Compound: SmDyFe8B2
Radiation: Cu Ka
Structure: a DFT-relaxed cell (GGA-PBE, OQMD)
No peak broadening, texture or thermal motion is included.

Principal peaks in the range 2θ from 10° to 80°, by intensity:
2theta  d [Å]  I/Imax
43.97  2.059  100
32.60  2.747  93
41.02  2.200  73
35.33  2.541  33
61.69  1.504  30
69.42  1.354  24
74.72  1.270  20
68.30  1.373  18

Cell lengths 5.0816, 5.0816, 7.0307 Å; angles 90.00, 90.00, 120.00 degrees
Fractional coordinates of all 12 atoms:
Sm 0.0000 0.0000 0.0000
Dy 0.0000 0.0000 0.5000
Fe 0.0000 0.5000 0.2879
Fe 0.0000 0.5000 0.7121
Fe 0.3333 0.6667 0.0000
Fe 0.5000 0.0000 0.2879
Fe 0.5000 0.0000 0.7121
Fe 0.5000 0.5000 0.2879
Fe 0.5000 0.5000 0.7121
Fe 0.6667 0.3333 0.0000
B 0.3333 0.6667 0.5000
B 0.6667 0.3333 0.5000

***

Calculated PXRD pattern
Compound: DyYFe8B2
Radiation: Cu Ka
Structure: a DFT-relaxed cell (GGA-PBE, OQMD)
No peak broadening, texture or thermal motion is included.

Principal peaks in the range 2θ from 10° to 80°, by intensity:
2theta  d [Å]  I/Imax
44.10  2.053  100
32.68  2.740  82
41.18  2.192  74
35.46  2.531  28
37.78  2.381  26
61.92  1.499  25
69.69  1.349  24
75.05  1.266  21

Cell lengths 5.0629, 5.0629, 7.0212 Å; angles 90.00, 90.00, 120.00 degrees
Fractional coordinates of all 12 atoms:
Dy 0.0000 0.0000 0.0000
Y 0.0000 0.0000 0.5000
Fe 0.0000 0.5000 0.2861
Fe 0.0000 0.5000 0.7139
Fe 0.3333 0.6667 0.0000
Fe 0.5000 0.0000 0.2861
Fe 0.5000 0.0000 0.7139
Fe 0.5000 0.5000 0.2861
Fe 0.5000 0.5000 0.7139
Fe 0.6667 0.3333 0.0000
B 0.3333 0.6667 0.5000
B 0.6667 0.3333 0.5000